Record 1
TiC2N6F6: theoretical PXRD pattern (λ = 1.5418 Å (Cu Kα)), based on a crystal structure in the Materials Project, relaxed with PBE.

Main lines, in order of rising 2θ (2θ from 10° to 90°):
(1 1 0), 15.35 deg, intensity 100; (0 0 1), 15.79 deg, intensity 51; (2 0 -1), 17.81 deg, intensity 64; (1 1 1), 24.50 deg, intensity 65; (2 2 -1), 31.47 deg, intensity 37; (0 0 2), 31.90 deg, intensity 34

Structural model:
a = 11.4719 Å, b = 6.9253 Å, c = 6.1554 Å
α = 90.00°, β = 114.28°, γ = 90.00°
Space group Cm (No. 8)
Inequivalent atoms, fractional coordinates:
1 Ti 0.0000 0.0000 0.0000 (multiplicity 2)
2 C 0.2277 0.5000 0.2702 (multiplicity 2)
3 C 0.2778 0.0000 0.7358 (multiplicity 2)
4 N 0.1108 0.5000 0.2689 (multiplicity 2)
5 N 0.2190 0.1697 0.7272 (multiplicity 4)
6 N 0.2862 0.3310 0.2728 (multiplicity 4)
7 N 0.3973 0.0000 0.7495 (multiplicity 2)
8 F 0.0205 0.1963 0.8029 (multiplicity 4)
9 F 0.1777 0.0000 0.1879 (multiplicity 2)
10 F 0.3230 0.5000 0.8056 (multiplicity 2)
11 F 0.4786 0.3074 0.2000 (multiplicity 4)

***

Record 2
AuS5N5Cl4: theoretical PXRD pattern (λ = 1.5418 Å (Cu Kα)), based on a crystal structure in the Materials Project, relaxed with PBE.

Main lines, in order of rising 2θ (2θ from 10° to 90°):
(0 1 1), 10.97 deg, intensity 100; (0 2 0), 14.44 deg, intensity 62; (0 0 2), 16.55 deg, intensity 60; (1 0 1), 18.97 deg, intensity 90; (1 0 -2), 21.19 deg, intensity 90; (1 3 2), 33.11 deg, intensity 71

Structural model:
a = 5.6540 Å, b = 12.2671 Å, c = 10.8312 Å
α = 90.00°, β = 98.58°, γ = 90.00°
Space group P2_1/m (No. 11)
Inequivalent atoms, fractional coordinates:
1 Au 0.1574 0.2500 0.2953 (multiplicity 2)
2 S 0.0874 0.6307 0.3476 (multiplicity 4)
3 S 0.3558 0.2500 0.9581 (multiplicity 2)
4 S 0.4122 0.5647 0.1712 (multiplicity 4)
5 N 0.0133 0.7500 0.3836 (multiplicity 2)
6 N 0.2626 0.6383 0.2483 (multiplicity 4)
7 N 0.4380 0.1365 0.9104 (multiplicity 4)
8 Cl 0.0561 0.6162 0.8256 (multiplicity 4)
9 Cl 0.3730 0.1159 0.4144 (multiplicity 4)